1.
Starting from DFT lattice parameters and positions (GGA-PBE), the X-ray diffraction stick pattern of ErTlPbF6 was calculated for CuKα.
Kinematic intensities with the Lorentz-polarization factor, no thermal factor.

Main lines, low angle first (2θ = 15–90°):
2θ 22.11, I = 1000; 2θ 27.99, I = 940; 2θ 31.47, I = 278; 2θ 42.61, I = 752; 2θ 45.10, I = 186; 2θ 50.78, I = 192; 2θ 52.73, I = 194; 2θ 53.92, I = 221; 2θ 63.78, I = 186; 2θ 72.86, I = 148

Structure:
```
18
Lattice="5.6860 0.0000 0.0000 0.0000 5.6860 0.0000 0.0000 0.0000 11.5478" Properties=species:S:1:pos:R:3 pbc="T T T"
Er 0.0000 0.0000 0.0000
Er 2.8430 2.8430 5.7739
Tl 0.0000 0.0000 7.6961
Tl 2.8430 2.8430 1.9222
Pb 0.0000 0.0000 3.8953
Pb 2.8430 2.8430 9.6692
F 0.9505 0.9505 1.7171
F 1.1223 1.1223 10.0571
F 1.3081 1.3081 5.5480
F 1.5348 4.1511 11.3219
F 1.7207 3.9652 4.2832
F 1.8925 3.7935 7.4910
F 3.7935 1.8925 7.4910
F 3.9652 1.7207 4.2832
F 4.1511 1.5348 11.3219
F 4.3778 4.3778 5.5480
F 4.5637 4.5637 10.0571
F 4.7355 4.7355 1.7171
```


2.
Starting from DFT lattice parameters and positions (GGA-PBE), the X-ray diffraction stick pattern of Ca2MgPaN4 was calculated for CuKα.
Kinematic intensities with the Lorentz-polarization factor, no thermal factor.

Main lines, low angle first (2θ = 15–90°):
2θ 17.04, I = 1000; 2θ 26.95, I = 662; 2θ 28.73, I = 395; 2θ 29.47, I = 398; 2θ 31.04, I = 277; 2θ 31.50, I = 505; 2θ 38.64, I = 739; 2θ 43.33, I = 245; 2θ 46.90, I = 428; 2θ 62.12, I = 251

Structure:
```
16
Lattice="1.6740 -5.7629 0.0000 1.6740 5.7629 0.0000 0.0000 0.0000 12.1240" Properties=species:S:1:pos:R:3 pbc="T T T"
Ca 1.6740 4.2168 6.5213
Ca 1.6740 4.2168 11.6647
Ca 1.6740 -4.2168 0.4593
Ca 1.6740 -4.2168 5.6027
Mg 1.6740 1.4472 3.0310
Mg 1.6740 -1.4472 9.0930
Pa 1.6740 1.5858 9.0930
Pa 1.6740 -1.5858 3.0310
N 1.6740 5.6559 9.0930
N 1.6740 3.1067 1.7014
N 1.6740 3.1067 4.3606
N 1.6740 0.0000 0.0000
N 1.6740 0.0000 6.0620
N 1.6740 -3.1067 7.7634
N 1.6740 -3.1067 10.4226
N 1.6740 -5.6559 3.0310
```


3.
Starting from DFT lattice parameters and positions (GGA-PBE), the X-ray diffraction stick pattern of Pr5Sm8Tm was calculated for CuKα.
Kinematic intensities with the Lorentz-polarization factor, no thermal factor.

Main lines, low angle first (2θ = 15–90°):
2θ 23.16, I = 132; 2θ 29.38, I = 259; 2θ 30.84, I = 419; 2θ 31.22, I = 324; 2θ 31.52, I = 1000; 2θ 31.93, I = 300; 2θ 33.85, I = 423; 2θ 44.47, I = 164; 2θ 48.77, I = 147; 2θ 54.22, I = 127

Structure:
```
14
Lattice="6.5183 -5.7958 0.0000 6.5183 5.7958 0.0000 -6.2042 0.0000 6.5321" Properties=species:S:1:pos:R:3 pbc="T T T"
Pr 0.0000 0.0000 0.0000
Pr -3.2580 0.0000 3.4477
Pr 3.3929 0.0000 0.7872
Pr 0.0143 0.0000 5.1168
Pr 3.5876 0.0000 4.9175
Sm 1.7254 2.4073 3.2956
Sm 4.9325 3.1008 1.7250
Sm 8.1140 2.3341 0.2606
Sm 5.0914 2.8552 4.9532
Sm 1.7254 -2.4073 3.2956
Sm 4.9325 -3.1008 1.7250
Sm 8.1140 -2.3341 0.2606
Sm 5.0914 -2.8552 4.9532
Tm 6.4025 0.0000 2.6991
```


4.
Starting from DFT lattice parameters and positions (GGA-PBE), the X-ray diffraction stick pattern of TbIrPb was calculated for CuKα.
Kinematic intensities with the Lorentz-polarization factor, no thermal factor.

Main lines, low angle first (2θ = 15–90°):
2θ 31.54, I = 574; 2θ 31.85, I = 358; 2θ 33.26, I = 250; 2θ 33.67, I = 1000; 2θ 37.78, I = 758; 2θ 38.86, I = 609; 2θ 39.78, I = 218; 2θ 45.96, I = 241; 2θ 56.82, I = 220; 2θ 62.86, I = 229

Structure:
```
12
Lattice="7.0653 0.0000 0.0000 0.0000 4.6351 0.0000 0.0000 0.0000 8.3277" Properties=species:S:1:pos:R:3 pbc="T T T"
Tb 0.1516 1.1588 1.5122
Tb 3.3810 3.4763 5.6761
Tb 3.6843 1.1588 2.6516
Tb 6.9137 3.4763 6.8155
Ir 1.7583 1.1588 7.4607
Ir 1.7743 3.4763 3.2969
Ir 5.2910 1.1588 5.0309
Ir 5.3070 3.4763 0.8670
Pb 1.1341 1.1588 4.7622
Pb 2.3985 3.4763 0.5983
Pb 4.6668 1.1588 7.7294
Pb 5.9312 3.4763 3.5655
```


5.
Starting from DFT lattice parameters and positions (GGA-PBE), the X-ray diffraction stick pattern of Ta3Mo was calculated for CuKα.
Kinematic intensities with the Lorentz-polarization factor, no thermal factor.

Main lines, low angle first (2θ = 15–90°):
2θ 38.64, I = 251; 2θ 38.93, I = 1000; 2θ 39.05, I = 270; 2θ 56.10, I = 171; 2θ 56.36, I = 86; 2θ 70.11, I = 171; 2θ 70.42, I = 87; 2θ 70.67, I = 275; 2θ 83.59, I = 111; 2θ 83.89, I = 29

Structure:
```
8
Lattice="-1.6324 2.3068 9.3213 1.6324 -2.3068 9.3213 1.6324 2.3068 -9.3213" Properties=species:S:1:pos:R:3 pbc="T T T"
Ta 1.6324 1.1534 -1.2486
Ta 0.0000 1.1534 1.1281
Ta 1.6324 1.1534 3.4884
Ta 0.0000 1.1534 5.8329
Ta 1.6324 1.1534 8.1932
Ta 0.0000 1.1534 10.5699
Mo 1.6324 -1.1534 5.7725
Mo 0.0000 3.4601 3.5487
```


6.
Starting from DFT lattice parameters and positions (GGA-PBE), the X-ray diffraction stick pattern of Ta5C3 was calculated for CuKα.
Kinematic intensities with the Lorentz-polarization factor, no thermal factor.

Main lines, low angle first (2θ = 15–90°):
2θ 27.96, I = 561; 2θ 32.14, I = 793; 2θ 32.91, I = 362; 2θ 36.02, I = 480; 2θ 40.48, I = 889; 2θ 44.20, I = 704; 2θ 45.63, I = 1000; 2θ 46.09, I = 323; 2θ 63.85, I = 392; 2θ 67.77, I = 284

Structure:
```
16
Lattice="0.0000 6.2321 2.7213 6.2220 0.0000 2.7213 6.2220 6.2321 0.0000" Properties=species:S:1:pos:R:3 pbc="T T T"
Ta 0.0000 0.0000 0.0000
Ta 3.9267 1.3520 1.3783
Ta 4.8718 3.9331 1.3575
Ta 1.3502 2.2990 1.3575
Ta 2.2953 4.8801 1.3783
Ta 6.2220 6.2321 2.7174
Ta 11.0939 8.5311 4.0788
Ta 8.5174 7.5842 4.0997
Ta 10.1488 11.1122 4.0997
Ta 7.5722 10.1652 4.0788
C 3.1110 3.1161 0.0023
C 6.2220 2.1553 2.1233
C 10.2949 6.2321 3.3293
C 9.3331 9.3482 2.7236
C 6.2220 10.3089 2.1233
C 2.1492 6.2321 3.3293
```